(1)
Theoretical powder X-ray diffraction pattern
Compound: CaPr2Ga2Cu2
Radiation: Cu Kα (weighted mean of Kα1 and Kα2)
Structure: a cell relaxed with PBE
No peak broadening, texture or thermal motion is included.

Main lines, low angle first (2θ = 10–90°):
d/Å, 2theta, I_rel, (hkl)
4.812, 18.44, 28, 0 0 6
3.410, 26.13, 40, 1 0 4
2.822, 31.71, 64, 1 0 7
2.639, 33.97, 100, 0 1 8
2.234, 40.38, 99, 1 1 0
1.458, 63.84, 31, 1 1 15

Crystal structure
```
data_CaPr2Ga2Cu2
_chemical_formula_sum 'Ca3 Pr6 Ga6 Cu6'
_symmetry_space_group_name_H-M 'R -3 m'
_symmetry_Int_Tables_number 166
_symmetry_space_group_name_Hall '-R 3 2"'
_cell_length_a 4.4673
_cell_length_b 4.4673
_cell_length_c 28.8721
_cell_angle_alpha 90.00
_cell_angle_beta 90.00
_cell_angle_gamma 120.00
loop_
_atom_site_label
_atom_site_type_symbol
_atom_site_fract_x
_atom_site_fract_y
_atom_site_fract_z
Ca1 Ca 0.0000 0.0000 0.0000
Pr1 Pr 0.0000 0.0000 0.1234
Ga1 Ga 0.0000 0.0000 0.2644
Cu1 Cu 0.0000 0.0000 0.3991
```



(2)
Theoretical powder X-ray diffraction pattern
Compound: La4Pm5Th4
Radiation: Cu Kα (weighted mean of Kα1 and Kα2)
Structure: a cell relaxed with PBE
No peak broadening, texture or thermal motion is included.

Main lines, low angle first (2θ = 10–90°):
d/Å, 2theta, I_rel, (hkl)
2.978, 30.01, 100, 3 2 1
2.590, 34.64, 34, 1 5 0
2.557, 35.09, 17, 0 0 2
1.820, 50.13, 24, 1 5 2
1.560, 59.24, 28, 8 1 1
1.546, 59.84, 14, 3 2 3

Crystal structure
```
data_La4Pm5Th4
_chemical_formula_sum 'La8 Pm10 Th8'
_symmetry_space_group_name_H-M 'I 4/m'
_symmetry_Int_Tables_number 87
_symmetry_space_group_name_Hall '-I 4'
_cell_length_a 13.2050
_cell_length_b 13.2050
_cell_length_c 5.1145
_cell_angle_alpha 90.00
_cell_angle_beta 90.00
_cell_angle_gamma 90.00
loop_
_atom_site_label
_atom_site_type_symbol
_atom_site_fract_x
_atom_site_fract_y
_atom_site_fract_z
La1 La 0.1523 0.7645 0.0000
Pm1 Pm 0.0000 0.0000 0.0000
Pm2 Pm 0.0366 0.1999 0.5000
Th1 Th 0.0734 0.3898 0.0000
```



(3)
Theoretical powder X-ray diffraction pattern
Compound: CsBaOsO6
Radiation: Cu Kα (weighted mean of Kα1 and Kα2)
Structure: a cell relaxed with PBE
No peak broadening, texture or thermal motion is included.

Main lines, low angle first (2θ = 10–90°):
d/Å, 2theta, I_rel, (hkl)
3.697, 24.07, 100, 1 1 1
3.571, 24.94, 91, 1 -1 0
3.521, 25.29, 87, 1 0 -1
3.071, 29.08, 59, 0 1 -1
3.005, 29.73, 57, 0 1 2
2.946, 30.34, 56, 0 2 1

Crystal structure
```
data_CsBaOsO6
_chemical_formula_sum 'Cs1 Ba1 Os1 O6'
_symmetry_space_group_name_H-M 'P 1'
_symmetry_Int_Tables_number 1
_cell_length_a 4.9831
_cell_length_b 5.9010
_cell_length_c 6.0364
_cell_angle_alpha 61.97
_cell_angle_beta 85.50
_cell_angle_gamma 87.22
loop_
_symmetry_equiv_pos_as_xyz
'x,y,z'
loop_
_atom_site_label
_atom_site_type_symbol
_atom_site_fract_x
_atom_site_fract_y
_atom_site_fract_z
Cs1 Cs 0.0000 0.0000 0.0000
Ba1 Ba 0.5685 0.6646 0.6711
Os1 Os 0.2997 0.3410 0.3375
O1 O 0.0512 0.4799 0.4732
O2 O 0.1167 0.0118 0.4809
O3 O 0.1304 0.4625 0.0403
O4 O 0.4962 0.0936 0.2471
O5 O 0.4961 0.2146 0.6218
O6 O 0.5496 0.5890 0.1689
```



(4)
Theoretical powder X-ray diffraction pattern
Compound: K6RbHg4
Radiation: Cu Kα (weighted mean of Kα1 and Kα2)
Structure: a cell relaxed with PBE
No peak broadening, texture or thermal motion is included.

Main lines, low angle first (2θ = 10–90°):
d/Å, 2theta, I_rel, (hkl)
7.464, 11.86, 87, 1 1 -1
6.609, 13.40, 52, 0 0 1
4.596, 19.31, 32, 2 0 -2
2.979, 29.99, 78, 1 3 -2
2.938, 30.43, 100, 3 3 -1
2.298, 39.20, 27, 4 0 -4

Crystal structure
```
data_K6RbHg4
_chemical_formula_sum 'K12 Rb2 Hg8'
_symmetry_space_group_name_H-M 'C 1 m 1'
_symmetry_Int_Tables_number 8
_cell_length_a 12.8190
_cell_length_b 12.7584
_cell_length_c 9.2068
_cell_angle_alpha 90.00
_cell_angle_beta 134.12
_cell_angle_gamma 90.00
loop_
_symmetry_equiv_pos_as_xyz
'x,y,z'
'x,-y,z'
'x+1/2,y+1/2,z'
'x+1/2,-y+1/2,z'
loop_
_atom_site_label
_atom_site_type_symbol
_atom_site_fract_x
_atom_site_fract_y
_atom_site_fract_z
K1 K 0.0000 0.0000 0.0000
K2 K 0.1297 0.5000 0.9984
K3 K 0.3483 0.2492 0.5665
K4 K 0.3832 0.1858 0.1346
Rb1 Rb 0.0974 0.0000 0.5686
Hg1 Hg 0.1587 0.3432 0.6862
Hg2 Hg 0.1944 0.5000 0.4470
Hg3 Hg 0.3845 0.0000 0.4452
```



(5)
Theoretical powder X-ray diffraction pattern
Compound: RbLiCu2H3S2O10
Radiation: Cu Kα (weighted mean of Kα1 and Kα2)
Structure: a cell relaxed with PBE
No peak broadening, texture or thermal motion is included.

Main lines, low angle first (2θ = 10–90°):
d/Å, 2theta, I_rel, (hkl)
5.840, 15.17, 50, 1 0 0
5.028, 17.64, 58, 1 1 1
4.873, 18.20, 100, 1 0 1
3.592, 24.79, 64, 1 1 2
3.517, 25.33, 100, 0 0 2
2.945, 30.35, 75, 1 2 0

Crystal structure
```
data_RbLiCu2H3S2O10
_chemical_formula_sum 'Rb1 Li1 Cu2 H3 S2 O10'
_symmetry_space_group_name_H-M 'P 1'
_symmetry_Int_Tables_number 1
_cell_length_a 6.3477
_cell_length_b 6.4795
_cell_length_c 7.6696
_cell_angle_alpha 68.09
_cell_angle_beta 74.47
_cell_angle_gamma 68.56
loop_
_symmetry_equiv_pos_as_xyz
'x,y,z'
loop_
_atom_site_label
_atom_site_type_symbol
_atom_site_fract_x
_atom_site_fract_y
_atom_site_fract_z
Rb1 Rb 0.0000 0.0000 0.0000
Li1 Li 0.4000 0.0346 0.5030
Cu1 Cu 0.9023 0.0094 0.5183
Cu2 Cu 0.9547 0.5017 0.4523
H1 H 0.5385 0.1672 0.7099
H2 H 0.5958 0.4254 0.4627
H3 H 0.6288 0.6117 0.2551
S1 S 0.3546 0.3462 0.0630
S2 S 0.5439 0.5991 0.8888
O1 O 0.0528 0.1852 0.5366
O2 O 0.1329 0.4903 0.1363
O3 O 0.3369 0.2424 0.9294
O4 O 0.3896 0.7647 0.7513
O5 O 0.4946 0.1804 0.2118
O6 O 0.5672 0.7014 0.0217
O7 O 0.5862 0.1664 0.5769
O8 O 0.6371 0.5777 0.3908
O9 O 0.7600 0.4617 0.8053
O10 O 0.9765 0.7797 0.4228
```



(6)
Theoretical powder X-ray diffraction pattern
Compound: K5Rb5Ag
Radiation: Cu Kα (weighted mean of Kα1 and Kα2)
Structure: a cell relaxed with PBE
No peak broadening, texture or thermal motion is included.

Main lines, low angle first (2θ = 10–90°):
d/Å, 2theta, I_rel, (hkl)
5.254, 16.88, 51, 0 2 0
5.179, 17.12, 37, 1 0 3
4.069, 21.84, 52, 1 1 4
3.688, 24.13, 100, 1 2 3
3.608, 24.67, 50, 2 0 0
2.626, 34.15, 32, 0 4 0

Crystal structure
```
data_K5Rb5Ag
_chemical_formula_sum 'K10 Rb10 Ag2'
_symmetry_space_group_name_H-M 'I m m m'
_symmetry_Int_Tables_number 71
_symmetry_space_group_name_Hall '-I 2 2'
_cell_length_a 7.2168
_cell_length_b 10.5088
_cell_length_c 22.3084
_cell_angle_alpha 90.00
_cell_angle_beta 90.00
_cell_angle_gamma 90.00
loop_
_atom_site_label
_atom_site_type_symbol
_atom_site_fract_x
_atom_site_fract_y
_atom_site_fract_z
K1 K 0.0000 0.0000 0.0000
K2 K 0.0000 0.3019 0.3739
Rb1 Rb 0.0000 0.0000 0.2160
Rb2 Rb 0.0000 0.0000 0.5000
Rb3 Rb 0.0000 0.5000 0.1473
Ag1 Ag 0.0000 0.5000 0.5000
```